(1)
Starting from a cell relaxed with GGA+U, the X-ray diffraction stick pattern of CrO2 was calculated for λ = 1.5418 Å (Cu Kα).

Structural model:
```
data_CrO2
_cell_length_a 5.2273
_cell_length_b 2.8589
_cell_length_c 9.5515
_cell_angle_alpha 90.00
_cell_angle_beta 99.80
_cell_angle_gamma 90.00
_symmetry_space_group_name_H-M 'C 1 2/m 1'
_symmetry_Int_Tables_number 12
loop_
_symmetry_equiv_pos_as_xyz
'x,y,z'
'-x,-y,-z'
'-x,y,-z'
'x,-y,z'
'x+1/2,y+1/2,z'
'-x+1/2,-y+1/2,-z'
'-x+1/2,y+1/2,-z'
'x+1/2,-y+1/2,z'
loop_
_atom_site_label
_atom_site_fract_x
_atom_site_fract_y
_atom_site_fract_z
_atom_site_occupancy
Cr1 0.2394 0.0000 0.2474 1
O1 0.1172 0.5000 0.3496 1
O2 0.1263 0.0000 0.8537 1
```

Most intense lines, 2θ from 5° to 70°, low angle first:
| 2θ/deg | I/Imax | h k l |
| --- | --- | --- |
| 18.9 | 100 | 0 0 2 |
| 34.8 | 13 | 2 0 0 |
| 36.4 | 21 | 1 1 -1 |
| 42.8 | 18 | 2 0 2 |
| 44.4 | 32 | 1 1 -3 |
| 58.9 | 10 | 1 1 -5 |

---

(2)
Starting from a cell relaxed with GGA+U, the X-ray diffraction stick pattern of Mn6O5F7 was calculated for λ = 1.5418 Å (Cu Kα).

Structural model:
```
data_Mn6O5F7
_cell_length_a 4.6901
_cell_length_b 5.7414
_cell_length_c 15.6763
_cell_angle_alpha 89.02
_cell_angle_beta 88.85
_cell_angle_gamma 88.32
_symmetry_space_group_name_H-M 'P 1'
_symmetry_Int_Tables_number 1
loop_
_symmetry_equiv_pos_as_xyz
'x,y,z'
loop_
_atom_site_label
_atom_site_fract_x
_atom_site_fract_y
_atom_site_fract_z
_atom_site_occupancy
Mn1 0.0000 0.0000 0.0000 1
Mn2 0.0012 0.3131 0.1613 1
Mn3 0.4712 0.7909 0.1798 1
Mn4 0.4965 0.5040 0.0130 1
Mn5 0.5109 0.5021 0.3446 1
Mn6 0.5132 0.7918 0.5058 1
Mn7 0.5206 0.8138 0.8469 1
Mn8 0.5306 0.4955 0.6772 1
Mn9 0.9595 0.3115 0.5045 1
Mn10 0.9659 0.9886 0.6814 1
Mn11 0.9840 0.9824 0.3424 1
Mn12 0.9877 0.2898 0.8372 1
O1 0.2727 0.7538 0.2897 1
O2 0.2834 0.5305 0.1198 1
O3 0.2902 0.7743 0.9529 1
O4 0.7143 0.5379 0.5613 1
O5 0.7228 0.7619 0.7393 1
O6 0.7245 0.7588 0.3996 1
O7 0.7682 0.2635 0.3969 1
O8 0.7783 0.2510 0.7350 1
O9 0.7852 0.2702 0.0562 1
O10 0.7955 0.0399 0.8953 1
F1 0.2029 0.2633 0.6159 1
F2 0.2304 0.2515 0.2800 1
F3 0.2318 0.0368 0.4598 1
F4 0.2341 0.0296 0.1061 1
F5 0.2446 0.2804 0.9373 1
F6 0.2533 0.5333 0.4529 1
F7 0.2525 0.7707 0.6186 1
F8 0.2575 0.0236 0.7819 1
F9 0.2586 0.5203 0.7856 1
F10 0.7369 0.5392 0.9046 1
F11 0.7404 0.7713 0.0750 1
F12 0.7440 0.0383 0.5674 1
F13 0.7516 0.5335 0.2337 1
F14 0.7632 0.0407 0.2219 1
```

Most intense lines, 2θ from 5° to 70°, low angle first:
| 2θ/deg | I/Imax | h k l |
| --- | --- | --- |
| 24.2 | 100 | 1 1 0 |
| 24.9 | 88 | 1 -1 0 |
| 29.3 | 87 | 1 1 3 |
| 30.1 | 89 | 1 1 -3 |
| 30.2 | 90 | 1 -1 3 |
| 30.3 | 82 | -1 1 3 |

---

(3)
Starting from a cell relaxed with GGA+U, the X-ray diffraction stick pattern of Hg2MoO4 was calculated for λ = 1.5418 Å (Cu Kα).

Structural model:
```
data_Hg2MoO4
_cell_length_a 5.2895
_cell_length_b 9.4383
_cell_length_c 11.1971
_cell_angle_alpha 90.00
_cell_angle_beta 99.29
_cell_angle_gamma 90.00
_symmetry_space_group_name_H-M 'P 1 21/c 1'
_symmetry_Int_Tables_number 14
loop_
_symmetry_equiv_pos_as_xyz
'x,y,z'
'-x,-y,-z'
'-x,y+1/2,-z+1/2'
'x,-y+1/2,z+1/2'
loop_
_atom_site_label
_atom_site_fract_x
_atom_site_fract_y
_atom_site_fract_z
_atom_site_occupancy
Hg1 0.0509 0.2064 0.4235 1
Hg2 0.1647 0.6281 0.4365 1
Mo1 0.4686 0.5374 0.7834 1
O1 0.2112 0.0932 0.2835 1
O2 0.2877 0.0135 0.5899 1
O3 0.3360 0.7097 0.7894 1
O4 0.3988 0.0284 0.8577 1
```

Most intense lines, 2θ from 5° to 70°, low angle first:
| 2θ/deg | I/Imax | h k l |
| --- | --- | --- |
| 17.0 | 32 | 1 0 0 |
| 25.3 | 100 | 1 0 2 |
| 25.4 | 62 | 1 2 0 |
| 25.9 | 94 | 1 2 -1 |
| 30.8 | 55 | 0 2 3 |
| 33.3 | 38 | 1 2 -3 |

---

(4)
Starting from a cell relaxed with GGA+U, the X-ray diffraction stick pattern of Li9Mn2Co5O16 was calculated for λ = 1.5418 Å (Cu Kα).

Structural model:
```
data_Li9Mn2Co5O16
_cell_length_a 3.0194
_cell_length_b 9.9148
_cell_length_c 9.9660
_cell_angle_alpha 77.84
_cell_angle_beta 86.98
_cell_angle_gamma 86.76
_symmetry_space_group_name_H-M 'P -1'
_symmetry_Int_Tables_number 2
loop_
_symmetry_equiv_pos_as_xyz
'x,y,z'
'-x,-y,-z'
loop_
_atom_site_label
_atom_site_fract_x
_atom_site_fract_y
_atom_site_fract_z
_atom_site_occupancy
Li1 0.0000 0.0000 0.0000 1
Li2 0.0009 0.2487 0.6255 1
Li3 0.0084 0.7535 0.8722 1
Li4 0.4966 0.2473 0.3759 1
Li5 0.4992 0.7604 0.1206 1
Mn1 0.9996 0.4986 0.7504 1
Co1 0.0000 0.0000 0.5000 1
Co2 0.4994 0.0018 0.7583 1
Co3 0.5000 0.5000 0.0000 1
Co4 0.5000 0.5000 0.5000 1
O1 0.0153 0.1151 0.8076 1
O2 0.0302 0.1147 0.3209 1
O3 0.0350 0.6154 0.5652 1
O4 0.0400 0.6173 0.0644 1
O5 0.4696 0.3856 0.1812 1
O6 0.4731 0.3849 0.6807 1
O7 0.4884 0.1092 0.5736 1
O8 0.4983 0.8857 0.9162 1
```

Most intense lines, 2θ from 5° to 70°, low angle first:
| 2θ/deg | I/Imax | h k l |
| --- | --- | --- |
| 18.3 | 100 | 0 2 0 |
| 34.2 | 21 | 1 1 2 |
| 41.0 | 34 | 1 3 2 |
| 44.1 | 27 | -1 3 2 |
| 45.0 | 24 | 0 2 -4 |
| 62.6 | 15 | 1 5 -2 |

---

(5)
Starting from a cell relaxed with GGA+U, the X-ray diffraction stick pattern of Al5Co3O12 was calculated for λ = 1.5418 Å (Cu Kα).

Structural model:
```
data_Al5Co3O12
_cell_length_a 9.9194
_cell_length_b 5.7370
_cell_length_c 14.0063
_cell_angle_alpha 90.00
_cell_angle_beta 90.23
_cell_angle_gamma 90.00
_symmetry_space_group_name_H-M 'C 1 m 1'
_symmetry_Int_Tables_number 8
loop_
_symmetry_equiv_pos_as_xyz
'x,y,z'
'x,-y,z'
'x+1/2,y+1/2,z'
'x+1/2,-y+1/2,z'
loop_
_atom_site_label
_atom_site_fract_x
_atom_site_fract_y
_atom_site_fract_z
_atom_site_occupancy
Al1 0.0000 0.0000 0.0000 1
Al2 0.0009 0.5000 0.4990 1
Al3 0.0887 0.2467 0.8340 1
Al4 0.1697 0.0000 0.1731 1
Al5 0.1775 0.5000 0.6698 1
Al6 0.2555 0.2428 0.4983 1
Al7 0.4237 0.2535 0.1736 1
Co1 0.0090 0.0000 0.6278 1
Co2 0.1673 0.5000 0.0370 1
Co3 0.1733 0.5000 0.2973 1
Co4 0.3307 0.0000 0.7161 1
Co5 0.3390 0.0000 0.3425 1
Co6 0.3469 0.0000 0.9576 1
O1 0.0053 0.0000 0.2327 1
O2 0.0164 0.0000 0.7581 1
O3 0.0213 0.5000 0.7559 1
O4 0.0831 0.2287 0.0891 1
O5 0.0957 0.2763 0.5792 1
O6 0.1551 0.0000 0.9149 1
O7 0.1615 0.5000 0.9092 1
O8 0.1712 0.5000 0.4305 1
O9 0.1915 0.0000 0.4254 1
O10 0.2375 0.2584 0.7485 1
O11 0.2620 0.2319 0.2469 1
O12 0.3219 0.5000 0.5807 1
O13 0.3380 0.0000 0.5793 1
O14 0.3393 0.0000 0.1002 1
O15 0.3523 0.5000 0.0870 1
O16 0.4105 0.2190 0.4261 1
O17 0.4386 0.2561 0.9223 1
O18 0.4932 0.0000 0.2471 1
```

Most intense lines, 2θ from 5° to 70°, low angle first:
| 2θ/deg | I/Imax | h k l |
| --- | --- | --- |
| 31.2 | 74 | 3 1 0 |
| 36.8 | 100 | 2 0 -5 |
| 36.9 | 53 | 3 1 3 |
| 59.2 | 40 | 6 0 -3 |
| 65.1 | 39 | 0 4 0 |
| 65.1 | 26 | 2 2 -8 |

---

(6)
Starting from a cell relaxed with GGA+U, the X-ray diffraction stick pattern of K4MgMo2S2O6 was calculated for λ = 1.5418 Å (Cu Kα).

Structural model:
```
data_K4MgMo2S2O6
_cell_length_a 6.1818
_cell_length_b 7.0896
_cell_length_c 8.1385
_cell_angle_alpha 78.07
_cell_angle_beta 88.25
_cell_angle_gamma 72.99
_symmetry_space_group_name_H-M 'P 1'
_symmetry_Int_Tables_number 1
loop_
_symmetry_equiv_pos_as_xyz
'x,y,z'
loop_
_atom_site_label
_atom_site_fract_x
_atom_site_fract_y
_atom_site_fract_z
_atom_site_occupancy
K1 0.0000 0.0000 0.0000 1
K2 0.0215 0.0310 0.5422 1
K3 0.4200 0.2165 0.2183 1
K4 0.6947 0.6565 0.5407 1
Mg1 0.1465 0.5259 0.8741 1
Mo1 0.4611 0.2343 0.6876 1
Mo2 0.6381 0.6596 0.0536 1
S1 0.2327 0.5600 0.5623 1
S2 0.8675 0.3522 0.2034 1
O1 0.2914 0.2311 0.8896 1
O2 0.3674 0.6274 0.9839 1
O3 0.4338 0.0579 0.5610 1
O4 0.6365 0.8383 0.1820 1
O5 0.7405 0.2498 0.7280 1
O6 0.8369 0.7068 0.8750 1
```

Most intense lines, 2θ from 5° to 70°, low angle first:
| 2θ/deg | I/Imax | h k l |
| --- | --- | --- |
| 19.0 | 71 | 1 1 1 |
| 23.6 | 65 | 0 1 2 |
| 26.7 | 60 | 1 2 0 |
| 26.9 | 86 | 0 2 0 |
| 29.3 | 100 | 2 1 0 |
| 29.8 | 60 | -1 1 2 |

---

(7)
Starting from a cell relaxed with GGA+U, the X-ray diffraction stick pattern of CsMg6CoO8 was calculated for λ = 1.5418 Å (Cu Kα).

Structural model:
```
data_CsMg6CoO8
_cell_length_a 4.4604
_cell_length_b 4.4604
_cell_length_c 9.3687
_cell_angle_alpha 90.00
_cell_angle_beta 90.00
_cell_angle_gamma 90.00
_symmetry_space_group_name_H-M 'P 4/m m m'
_symmetry_Int_Tables_number 123
_symmetry_space_group_name_Hall '-P 4 2'
loop_
_atom_site_label
_atom_site_fract_x
_atom_site_fract_y
_atom_site_fract_z
_atom_site_occupancy
Cs1 0.0000 0.0000 0.0000 1
Mg1 0.0000 0.0000 0.5000 1
Mg2 0.0000 0.5000 0.2772 1
Mg3 0.5000 0.5000 0.5000 1
Co1 0.5000 0.5000 0.0000 1
O1 0.0000 0.0000 0.2882 1
O2 0.0000 0.5000 0.0000 1
O3 0.0000 0.5000 0.5000 1
O4 0.5000 0.5000 0.2650 1
```

Most intense lines, 2θ from 5° to 70°, low angle first:
| 2θ/deg | I/Imax | h k l |
| --- | --- | --- |
| 9.4 | 83 | 0 0 1 |
| 29.9 | 44 | 1 1 1 |
| 34.3 | 63 | 1 1 2 |
| 38.4 | 49 | 0 0 4 |
| 40.4 | 100 | 2 0 0 |
| 57.0 | 55 | 2 0 4 |